# 1
For Rb5Tl3O, a cell relaxed with PBE gives the simulated X-ray powder pattern in this record (Cu Kα (λ = 1.5418 Å)).
Lines closer than 0.1° are merged.

Top 6 peaks for 2θ from 15° to 90°, in order of rising 2θ:
| 2θ/deg | Rel. int. | (hkl) |
| --- | --- | --- |
| 27.55 | 1000 | 2 0 2 |
| 27.99 | 964 | 0 8 2 |
| 28.80 | 975 | 2 8 0 |
| 35.33 | 228 | 2 2 3 |
| 48.49 | 223 | 2 8 4 |
| 50.01 | 218 | 4 8 2 |

Cell and atoms:
Cell: 8.896 34.582 9.439 Å, 90.00 90.00 90.00°
Space group Cmcm (No. 63)
One atom of each set of equivalent atoms:
Rb: 0.000 0.052 0.034
Rb: 0.000 0.180 0.034
Rb: 0.201 0.493 0.250
Rb: 0.225 0.233 0.750
Rb: 0.246 0.374 0.250
Tl: 0.000 0.316 0.563
Tl: 0.000 0.422 0.549
Tl: 0.204 0.373 0.750
O: 0.000 0.014 0.750
O: 0.000 0.174 0.750

# 2
For Rb3TlO3, a cell relaxed with PBE gives the simulated X-ray powder pattern in this record (Cu Kα (λ = 1.5418 Å)).
Lines closer than 0.1° are merged.

Top 6 peaks for 2θ from 15° to 90°, in order of rising 2θ:
| 2θ/deg | Rel. int. | (hkl) |
| --- | --- | --- |
| 17.87 | 269 | 1 1 -1 |
| 27.63 | 463 | 1 1 -3 |
| 28.07 | 584 | 2 0 2 |
| 28.25 | 1000 | 1 2 1 |
| 29.03 | 516 | 2 1 -2 |
| 32.99 | 532 | 0 1 4 |

Cell and atoms:
Cell: 7.944 7.280 11.735 Å, 90.00 94.03 90.00°
Space group P2_1/c (No. 14)
One atom of each set of equivalent atoms:
Rb: 0.063 0.132 0.156
Rb: 0.355 0.177 0.923
Rb: 0.369 0.699 0.810
Tl: 0.166 0.593 0.069
O: 0.108 0.039 0.395
O: 0.259 0.635 0.537
O: 0.311 0.066 0.696

# 3
For Rb3TmO3, a cell relaxed with PBE gives the simulated X-ray powder pattern in this record (Cu Kα (λ = 1.5418 Å)).
Lines closer than 0.1° are merged.

Top 6 peaks for 2θ from 15° to 90°, in order of rising 2θ:
| 2θ/deg | Rel. int. | (hkl) |
| --- | --- | --- |
| 17.16 | 897 | 1 1 -1 |
| 26.58 | 640 | 1 3 -1 |
| 26.79 | 649 | 1 1 -2 |
| 27.51 | 990 | 2 2 0 |
| 28.64 | 1000 | 0 4 0 |
| 28.80 | 686 | 0 2 2 |

Cell and atoms:
Cell: 7.691 12.467 7.240 Å, 90.00 99.24 90.00°
Space group C2/m (No. 12)
One atom of each set of equivalent atoms:
Rb: 0.000 0.206 0.000
Rb: 0.000 0.261 0.500
Rb: 0.136 0.500 0.856
Tm: 0.175 0.000 0.648
O: 0.103 0.000 0.346
O: 0.196 0.362 0.233

# 4
For Rb3TmO3, a cell relaxed with PBE gives the simulated X-ray powder pattern in this record (Cu Kα (λ = 1.5418 Å)).
Lines closer than 0.1° are merged.

Top 6 peaks for 2θ from 15° to 90°, in order of rising 2θ:
| 2θ/deg | Rel. int. | (hkl) |
| --- | --- | --- |
| 26.18 | 149 | 2 0 -2 |
| 27.56 | 310 | 1 1 -3 |
| 28.05 | 1000 | 2 0 2 |
| 28.91 | 317 | 2 1 -2 |
| 33.00 | 328 | 0 1 4 |
| 36.36 | 149 | 3 1 -1 |

Cell and atoms:
Cell: 7.962 7.361 11.713 Å, 90.00 94.25 90.00°
Space group P2_1/c (No. 14)
One atom of each set of equivalent atoms:
Rb: 0.067 0.121 0.155
Rb: 0.358 0.169 0.921
Rb: 0.375 0.696 0.808
Tm: 0.160 0.588 0.067
O: 0.105 0.051 0.405
O: 0.252 0.648 0.543
O: 0.309 0.059 0.688

# 5
For Rb2U2O7, a cell relaxed with PBE gives the simulated X-ray powder pattern in this record (Cu Kα (λ = 1.5418 Å)).
Lines closer than 0.1° are merged.

Top 6 peaks for 2θ from 15° to 90°, in order of rising 2θ:
| 2θ/deg | Rel. int. | (hkl) |
| --- | --- | --- |
| 24.94 | 364 | 0 0 2 |
| 26.71 | 1000 | 2 0 0 |
| 30.43 | 541 | 1 1 1 |
| 42.45 | 259 | 2 0 2 |
| 44.68 | 321 | 0 2 0 |
| 51.85 | 288 | 0 2 2 |

Cell and atoms:
Cell: 7.024 4.057 7.510 Å, 90.00 108.05 90.00°
Space group Pm (No. 6)
One atom of each set of equivalent atoms:
Rb: 0.000 0.000 0.000
Rb: 0.500 0.500 0.004
U: 0.011 0.500 0.493
U: 0.480 0.000 0.502
O: 0.083 0.500 0.759
O: 0.112 0.000 0.480
O: 0.347 0.500 0.525
O: 0.399 0.000 0.241
O: 0.589 0.000 0.763
O: 0.694 0.500 0.482
O: 0.921 0.500 0.226

# 6
For Rb2UO4, a cell relaxed with PBE gives the simulated X-ray powder pattern in this record (Cu Kα (λ = 1.5418 Å)).
Lines closer than 0.1° are merged.

Top 6 peaks for 2θ from 15° to 90°, in order of rising 2θ:
| 2θ/deg | Rel. int. | (hkl) |
| --- | --- | --- |
| 21.19 | 317 | 1 0 1 |
| 27.73 | 1000 | 1 0 3 |
| 28.77 | 548 | 1 1 0 |
| 41.14 | 281 | 2 0 0 |
| 48.39 | 218 | 1 1 6 |
| 50.34 | 401 | 2 1 3 |

Cell and atoms:
Cell: 4.388 4.388 14.192 Å, 90.00 90.00 90.00°
Space group I4/mmm (No. 139)
One atom of each set of equivalent atoms:
Rb: 0.000 0.000 0.154
U: 0.000 0.000 0.500
O: 0.000 0.000 0.362
O: 0.000 0.500 0.000

# 7
For Rb2U2O7, a cell relaxed with PBE gives the simulated X-ray powder pattern in this record (Cu Kα (λ = 1.5418 Å)).
Lines closer than 0.1° are merged.

Top 6 peaks for 2θ from 15° to 90°, in order of rising 2θ:
| 2θ/deg | Rel. int. | (hkl) |
| --- | --- | --- |
| 24.96 | 376 | 2 0 0 |
| 25.73 | 259 | 0 2 1 |
| 26.74 | 1000 | 1 2 -1 |
| 30.47 | 554 | 1 2 1 |
| 44.77 | 183 | 1 2 -3 |
| 51.86 | 185 | 2 4 0 |

Cell and atoms:
Cell: 7.513 8.115 7.007 Å, 90.00 108.28 90.00°
Space group P2_1/c (No. 14)
One atom of each set of equivalent atoms:
Rb: 0.007 0.120 0.270
U: 0.494 0.620 0.723
O: 0.230 0.620 0.636
O: 0.242 0.135 0.691
O: 0.488 0.639 0.392
O: 0.500 0.000 0.500

# 8
For Rb2U2O5, a cell relaxed with PBE gives the simulated X-ray powder pattern in this record (Cu Kα (λ = 1.5418 Å)).
Lines closer than 0.1° are merged.

Top 6 peaks for 2θ from 15° to 90°, in order of rising 2θ:
| 2θ/deg | Rel. int. | (hkl) |
| --- | --- | --- |
| 20.32 | 260 | 1 0 0 |
| 28.34 | 1000 | 1 0 2 |
| 28.89 | 430 | 1 1 0 |
| 41.32 | 250 | 2 0 0 |
| 49.83 | 189 | 1 1 4 |
| 50.86 | 409 | 2 1 2 |

Cell and atoms:
Cell: 4.370 4.370 9.083 Å, 90.00 90.00 90.00°
Space group P4/mmm (No. 123)
One atom of each set of equivalent atoms:
Rb: 0.000 0.000 0.000
Rb: 0.000 0.000 0.500
U: 0.500 0.500 0.238
O: 0.000 0.500 0.261
O: 0.500 0.500 0.000

# 9
For Rb2U2O7, a cell relaxed with PBE gives the simulated X-ray powder pattern in this record (Cu Kα (λ = 1.5418 Å)).
Lines closer than 0.1° are merged.

Top 6 peaks for 2θ from 15° to 90°, in order of rising 2θ:
| 2θ/deg | Rel. int. | (hkl) |
| --- | --- | --- |
| 24.83 | 373 | 0 2 0 |
| 25.86 | 253 | 1 1 2 |
| 26.85 | 1000 | 1 0 2 |
| 30.53 | 546 | 1 2 2 |
| 44.95 | 204 | 0 1 4 |
| 52.10 | 179 | 0 3 4 |

Cell and atoms:
Cell: 6.980 7.534 8.062 Å, 74.55 89.83 81.22°
Space group P-1 (No. 2)
One atom of each set of equivalent atoms:
Rb: 0.236 0.490 0.378
Rb: 0.258 0.479 0.879
U: 0.000 0.000 0.000
U: 0.000 0.000 0.500
U: 0.470 0.994 0.253
O: 0.055 0.736 0.048
O: 0.055 0.736 0.583
O: 0.135 0.981 0.255
O: 0.308 0.021 0.547
O: 0.308 0.023 0.941
O: 0.437 0.254 0.189
O: 0.492 0.268 0.680

# 10
For Rb3YO3, a cell relaxed with PBE gives the simulated X-ray powder pattern in this record (Cu Kα (λ = 1.5418 Å)).
Lines closer than 0.1° are merged.

Top 6 peaks for 2θ from 15° to 90°, in order of rising 2θ:
| 2θ/deg | Rel. int. | (hkl) |
| --- | --- | --- |
| 26.57 | 321 | 1 1 -2 |
| 27.25 | 655 | 2 2 0 |
| 28.15 | 360 | 1 3 1 |
| 28.58 | 1000 | 0 4 0 |
| 36.04 | 277 | 3 1 -1 |
| 36.25 | 257 | 1 3 2 |

Cell and atoms:
Cell: 7.780 12.496 7.303 Å, 90.00 99.07 90.00°
Space group C2/m (No. 12)
One atom of each set of equivalent atoms:
Rb: 0.000 0.205 0.000
Rb: 0.000 0.261 0.500
Rb: 0.137 0.500 0.857
Y: 0.178 0.000 0.650
O: 0.103 0.000 0.344
O: 0.191 0.361 0.231

# 11
For RbYO3, a cell relaxed with PBE gives the simulated X-ray powder pattern in this record (Cu Kα (λ = 1.5418 Å)).
Lines closer than 0.1° are merged.

Top 6 peaks for 2θ from 15° to 90°, in order of rising 2θ:
| 2θ/deg | Rel. int. | (hkl) |
| --- | --- | --- |
| 27.77 | 1000 | 1 1 0 |
| 39.68 | 374 | 2 0 0 |
| 49.12 | 412 | 2 1 1 |
| 57.37 | 233 | 2 2 0 |
| 64.91 | 180 | 3 1 0 |
| 78.83 | 208 | 3 2 1 |

Cell and atoms:
Cell: 4.543 4.543 4.543 Å, 90.00 90.00 90.00°
Space group Pm-3m (No. 221)
One atom of each set of equivalent atoms:
Rb: 0.000 0.000 0.000
Y: 0.500 0.500 0.500
O: 0.000 0.500 0.500